Entry 1:
# Mg2Zn
Simulated X-ray powder pattern, copper Kα. Input: a cell relaxed with GGA-PBE.
Peak positions follow from Bragg's law for the DFT cell and can differ from measured ones.

Cell: 3.102 3.102 14.463 Å, 90.00 90.00 120.00°
Atoms (fractional coordinates):
1 Mg 0.333 0.667 0.092
2 Mg 0.333 0.667 0.408
3 Mg 0.667 0.333 0.592
4 Mg 0.667 0.333 0.908
5 Zn 0.333 0.667 0.750
6 Zn 0.667 0.333 0.250

Largest 12 diffraction maxima, most intense first, 2θ = 10–90°:
- 2θ = 38.4°, d 2.346, I = 100
- 2θ = 12.2°, d 7.231, I = 59
- 2θ = 33.4°, d 2.686, I = 25
- 2θ = 37.3°, d 2.410, I = 23
- 2θ = 72.5°, d 1.304, I = 18
- 2θ = 33.9°, d 2.641, I = 18
- 2θ = 59.6°, d 1.551, I = 17
- 2θ = 68.0°, d 1.379, I = 15
- 2θ = 50.9°, d 1.794, I = 14
- 2θ = 46.1°, d 1.968, I = 14
- 2θ = 73.2°, d 1.294, I = 13
- 2θ = 35.7°, d 2.518, I = 7



Entry 2:
# Mg3Zn5
Simulated X-ray powder pattern, copper Kα. Input: a cell relaxed with GGA-PBE.
Peak positions follow from Bragg's law for the DFT cell and can differ from measured ones.

Cell: 4.848 8.082 8.090 Å, 93.44 107.13 102.94°
Atoms (fractional coordinates):
1 Mg 0.196 0.388 0.023
2 Mg 0.239 0.591 0.404
3 Mg 0.302 0.973 0.615
4 Mg 0.698 0.027 0.385
5 Mg 0.761 0.409 0.596
6 Mg 0.804 0.612 0.977
7 Zn 0.061 0.873 0.257
8 Zn 0.234 0.218 0.331
9 Zn 0.265 0.672 0.782
10 Zn 0.281 0.039 0.032
11 Zn 0.440 0.740 0.134
12 Zn 0.560 0.260 0.866
13 Zn 0.719 0.961 0.968
14 Zn 0.735 0.328 0.218
15 Zn 0.766 0.782 0.669
16 Zn 0.939 0.127 0.743

Largest 12 diffraction maxima, most intense first, 2θ = 10–90°:
- 2θ = 11.3°, d 7.805, I = 100
- 2θ = 11.6°, d 7.660, I = 94
- 2θ = 43.0°, d 2.104, I = 86
- 2θ = 39.1°, d 2.301, I = 60
- 2θ = 41.6°, d 2.170, I = 57
- 2θ = 39.8°, d 2.266, I = 55
- 2θ = 35.0°, d 2.566, I = 49
- 2θ = 39.5°, d 2.283, I = 49
- 2θ = 42.4°, d 2.132, I = 48
- 2θ = 37.2°, d 2.416, I = 47
- 2θ = 45.2°, d 2.005, I = 45
- 2θ = 45.0°, d 2.013, I = 43